The following is a calculated powder X-ray diffraction pattern of Al6Cu2B4O17. It was derived from a DFT-relaxed cell (GGA-PBE, the Materials Project), using copper Kα.
Lines closer than 0.1° are merged.

Structural model:
Lattice parameters (Å, degrees): 7.9788 7.9788 10.6636 130.63 130.63 42.13
Sites, in units of the cell vectors:
Al 0.0000 0.0000 0.0000
Al 0.3151 0.8131 0.8381
Al 0.3183 0.8227 0.3459
Al 0.8131 0.3151 0.8381
Al 0.8227 0.3183 0.3459
Al 0.8431 0.8431 0.0542
Cu 0.6277 0.6277 0.6789
Cu 0.7874 0.7874 0.6246
B 0.0521 0.0521 0.5834
B 0.3129 0.3129 0.5757
B 0.3189 0.3189 0.1028
B 0.5744 0.5744 0.0990
O 0.0290 0.0290 0.1996
O 0.0425 0.4480 0.5039
O 0.0546 0.0546 0.4555
O 0.1723 0.5962 0.1664
O 0.1905 0.1905 0.9737
O 0.2539 0.8485 0.6511
O 0.3618 0.7834 0.0317
O 0.4425 0.4425 0.7148
O 0.4480 0.0425 0.5039
O 0.5735 0.5735 0.2261
O 0.5962 0.1723 0.1664
O 0.6027 0.6027 0.4802
O 0.6741 0.6741 0.9148
O 0.7834 0.3618 0.0317
O 0.8363 0.8363 0.8800
O 0.8485 0.2539 0.6511
O 0.9660 0.9660 0.7908

Main lines, most intense first (2θ = 10–80°):
16.63°, 5.331 Å, I = 100; 17.56°, 5.052 Å, I = 89; 11.59°, 7.638 Å, I = 41; 33.62°, 2.666 Å, I = 40; 11.89°, 7.445 Å, I = 26; 45.37°, 1.999 Å, I = 23; 61.37°, 1.511 Å, I = 17; 54.50°, 1.684 Å, I = 17; 34.44°, 2.604 Å, I = 15; 33.78°, 2.653 Å, I = 13